Entry 1:
Structure and calculated powder diffraction line list of Pr3Al5Ni2 (a PBE-relaxed structure; λ = 1.5418 Å (Cu Kα)).
Kinematic intensities with the Lorentz-polarization factor, no thermal factor.

The 6 most intense peaks (15° ≤ 2θ ≤ 90°), low angle first:
2θ (°)  I (rel.)
21.6  60
28.2  60
29.5  29
33.4  40
35.8  100
37.0  35

Structure:
```
Pr3Al5Ni2
1.0
10.0059 0.0000 0.0000
0.0000 10.0059 0.0000
0.0000 0.0000 4.1135
Pr Al Ni
6 10 4
direct
0.0000 0.0000 0.0000 Pr
0.1768 0.3232 0.0000 Pr
0.3232 0.8232 0.0000 Pr
0.5000 0.5000 0.0000 Pr
0.6768 0.1768 0.0000 Pr
0.8232 0.6768 0.0000 Pr
0.0000 0.5000 0.5000 Al
0.0651 0.7614 0.5000 Al
0.2386 0.0651 0.5000 Al
0.2614 0.5651 0.5000 Al
0.4349 0.2614 0.5000 Al
0.5000 0.0000 0.5000 Al
0.5651 0.7386 0.5000 Al
0.7386 0.4349 0.5000 Al
0.7614 0.9349 0.5000 Al
0.9349 0.2386 0.5000 Al
0.1189 0.6189 0.0000 Ni
0.3811 0.1189 0.0000 Ni
0.6189 0.8811 0.0000 Ni
0.8811 0.3811 0.0000 Ni
```

Entry 2:
Structure and calculated powder diffraction line list of NaGa4Ag (a PBE-relaxed structure; λ = 1.5418 Å (Cu Kα)).
Kinematic intensities with the Lorentz-polarization factor, no thermal factor.

The 6 most intense peaks (15° ≤ 2θ ≤ 90°), low angle first:
2θ (°)  I (rel.)
17.3  37
22.8  31
38.8  100
40.0  43
41.3  34
45.0  57

Structure:
```
NaGa4Ag
1.0
5.5074 -2.9556 0.0000
5.5074 2.9556 0.0000
-2.9968 0.0000 7.5023
Na Ga Ag
2 8 2
direct
0.2035 0.2035 0.3426 Na
0.7965 0.7965 0.6574 Na
0.1317 0.6363 0.0313 Ga
0.1855 0.1855 0.7364 Ga
0.2621 0.7379 0.5000 Ga
0.3637 0.8683 0.9687 Ga
0.6363 0.1317 0.0313 Ga
0.7379 0.2621 0.5000 Ga
0.8145 0.8145 0.2636 Ga
0.8683 0.3637 0.9687 Ga
0.4232 0.4232 0.7309 Ag
0.5768 0.5768 0.2691 Ag
```

Entry 3:
Structure and calculated powder diffraction line list of Ta2Co3Ni (a PBE-relaxed structure; λ = 1.5418 Å (Cu Kα)).
Kinematic intensities with the Lorentz-polarization factor, no thermal factor.

The 6 most intense peaks (15° ≤ 2θ ≤ 90°), low angle first:
2θ (°)  I (rel.)
27.6  100
41.4  41
41.9  40
42.1  76
45.6  86
46.1  44

Structure:
```
Ta2Co3Ni
1.0
-3.9409 3.9409 5.6772
3.9409 -3.9409 5.6772
3.9409 3.9409 -5.6772
Ta Co Ni
8 12 4
direct
0.2741 0.7210 0.5531 Ta
0.2790 0.3322 0.5531 Ta
0.2790 0.7259 0.9469 Ta
0.3322 0.2790 0.0531 Ta
0.6678 0.7210 0.9469 Ta
0.7210 0.2741 0.0531 Ta
0.7210 0.6678 0.4469 Ta
0.7259 0.2790 0.4469 Ta
0.0000 0.5000 0.5000 Co
0.0964 0.3464 0.1929 Co
0.0964 0.9036 0.7500 Co
0.3464 0.0964 0.6929 Co
0.3464 0.6536 0.2500 Co
0.5000 0.0000 0.0000 Co
0.5000 0.5000 0.0000 Co
0.5000 0.5000 0.5000 Co
0.6536 0.3464 0.7500 Co
0.6536 0.9036 0.3071 Co
0.9036 0.0964 0.2500 Co
0.9036 0.6536 0.8071 Co
0.0978 0.3478 0.7500 Ni
0.3478 0.0978 0.2500 Ni
0.6522 0.9022 0.7500 Ni
0.9022 0.6522 0.2500 Ni
```

Entry 4:
Structure and calculated powder diffraction line list of Y4Ho6Er (a PBE-relaxed structure; λ = 1.5418 Å (Cu Kα)).
Kinematic intensities with the Lorentz-polarization factor, no thermal factor.

The 6 most intense peaks (15° ≤ 2θ ≤ 90°), low angle first:
2θ (°)  I (rel.)
21.9  32
29.3  60
31.1  84
34.6  100
40.7  33
57.7  28

Structure:
```
Y4Ho6Er
1.0
-3.2627 3.2627 8.5201
3.2627 -3.2627 8.5201
3.2627 3.2627 -8.5201
Y Ho Er
4 6 1
direct
0.1392 0.1392 0.6264 Y
0.4872 0.8608 0.0000 Y
0.5128 0.5128 0.3736 Y
0.8608 0.4872 0.0000 Y
0.0000 0.5000 0.5000 Ho
0.0492 0.6918 0.0000 Ho
0.3082 0.3082 0.3575 Ho
0.5000 0.0000 0.5000 Ho
0.6918 0.0492 0.0000 Ho
0.9508 0.9508 0.6425 Ho
0.5000 0.5000 0.0000 Er
```